Diffraction record for V3Ag2O8. The XRD peak list is theoretical, not measured: it uses a cell relaxed with PBE+U and CuKα.

abc: 6.675 6.675 4.975
angles: 106.68 106.68 53.65
Sites, in units of the cell vectors:
V 0.000 0.000 0.000
V 0.278 0.722 0.500
V 0.742 0.258 0.500
Ag 0.286 0.290 0.814
Ag 0.710 0.714 0.186
O 0.091 0.095 0.750
O 0.127 0.696 0.746
O 0.304 0.873 0.254
O 0.385 0.419 0.301
O 0.581 0.615 0.699
O 0.685 0.141 0.749
O 0.859 0.315 0.251
O 0.905 0.909 0.250

Largest 10 diffraction maxima, sorted by position, 2θ from 10° to 90°:
- 23.26 deg, 3.824 Å, I 45.7
- 27.13 deg, 3.286 Å, I 91.3
- 27.97 deg, 3.190 Å, I 50.3
- 28.32 deg, 3.151 Å, I 35.1
- 29.22 deg, 3.056 Å, I 100.0
- 33.74 deg, 2.657 Å, I 53.8
- 35.37 deg, 2.537 Å, I 38.2
- 36.30 deg, 2.475 Å, I 39.5
- 51.56 deg, 1.773 Å, I 35.1
- 52.53 deg, 1.742 Å, I 47.1